(1)
# CeNpSbO2
Calculated powder diffractogram, λ = 1.5418 Å (Cu Kα). Input: a cell relaxed with GGA-PBE.
Lines closer than 0.1° are merged.

Structural model:
Cell lengths 3.941, 3.941, 12.667 Å; angles 90.00, 90.00, 90.00 degrees
Space group I4mm (No. 107)
Unique sites:
Ce 0.000 0.000 0.000 x2
Np 0.000 0.000 0.307 x2
Sb 0.000 0.000 0.656 x2
O 0.000 0.500 0.401 x4

Top 12 peaks for 2θ = 5–70°, by angle:
2theta	Rel. int.	index
13.98	6.8	0 0 2
23.64	11.1	1 0 1
31.04	100.0	1 0 3
32.12	41.5	1 1 0
42.83	7.8	0 0 6
43.24	6.9	1 1 4
46.06	20.0	2 0 0
54.53	20.2	1 1 6
55.91	3.9	1 0 7
56.58	37.0	2 1 3
64.71	9.5	2 0 6
67.18	6.4	2 2 0

=====

(2)
# PrHo2ThSb4
Calculated powder diffractogram, λ = 1.5418 Å (Cu Kα). Input: a cell relaxed with GGA-PBE.
Lines closer than 0.1° are merged.

Structural model:
Cell lengths 7.680, 4.459, 7.718 Å; angles 90.00, 109.52, 90.00 degrees
Space group P2/m (No. 10)
Unique sites:
Pr 0.000 0.000 0.000 x1
Ho 0.500 0.000 0.500 x1
Ho 0.500 0.500 0.000 x1
Th 0.000 0.500 0.500 x1
Sb 0.260 0.000 0.752 x2
Sb 0.261 0.500 0.256 x2

Top 12 peaks for 2θ = 5–70°, by angle:
2theta	Rel. int.	index
12.17	1.2	0 0 1
24.47	4.3	0 0 2
24.60	1.5	2 0 0
28.37	100.0	1 1 1
40.47	38.7	0 2 0
40.63	37.8	2 0 2
47.90	1.9	1 1 3
50.16	20.7	0 0 4
50.43	6.6	4 0 0
58.69	12.8	2 2 2
66.33	17.9	1 3 1
66.56	17.2	4 2 0

=====

(3)
# BiPAuS
Calculated powder diffractogram, λ = 1.5418 Å (Cu Kα). Input: a cell relaxed with GGA-PBE.
Lines closer than 0.1° are merged.

Structural model:
Cell lengths 10.447, 4.139, 4.809 Å; angles 90.00, 92.22, 90.00 degrees
Space group Cm (No. 8)
Unique sites:
Bi 0.000 0.000 0.000 x2
P 0.328 0.500 0.555 x2
Au 0.376 0.000 0.313 x2
S 0.138 0.500 0.655 x2

Top 12 peaks for 2θ = 5–70°, by angle:
2theta	Rel. int.	index
16.99	68.7	2 0 0
18.46	21.0	0 0 1
25.68	73.0	2 0 1
29.53	100.0	1 1 -1
33.65	51.4	3 1 0
38.14	33.9	3 1 -1
39.95	15.7	4 0 1
40.73	15.8	2 0 -2
43.74	20.5	0 2 0
44.76	37.8	1 1 2
48.86	21.0	5 1 0
51.41	22.3	2 2 1